# Hf6Tl3Os
Theoretical XRD peak list, λ = 1.5418 Å (Cu Kα). Input: a cell relaxed with GGA-PBE.
Peak positions follow from Bragg's law for the DFT cell and can differ from measured ones.

Largest 6 diffraction maxima, by angle, 10° ≤ 2θ ≤ 80°:
2θ 33.85, d 2.648, I 76; 2θ 34.71, d 2.584, I 92; 2θ 35.96, d 2.498, I 100; 2θ 37.22, d 2.416, I 63; 2θ 39.48, d 2.283, I 70; 2θ 39.62, d 2.275, I 68

Structural model:
```
20
Lattice="5.404 0.000 0.000 0.000 8.830 0.000 -5.333 0.000 9.663" Properties=species:S:1:pos:R:3 pbc="T T T"
Hf -2.234 1.885 4.158
Hf -4.900 2.531 8.990
Hf 0.799 1.028 2.234
Hf -1.867 3.387 7.066
Hf -0.445 5.884 4.490
Hf -3.112 7.361 9.322
Hf 3.182 1.469 0.342
Hf 0.516 2.946 5.173
Hf 1.938 5.443 2.598
Hf -0.729 7.802 7.430
Hf 4.971 6.300 0.674
Hf 2.305 6.946 5.505
Tl -3.260 0.743 7.113
Tl -0.594 3.673 2.281
Tl 0.035 0.000 4.832
Tl 2.702 4.415 0.000
Tl 0.665 5.158 7.382
Tl 3.331 8.088 2.550
Os 0.000 0.000 0.000
Os -2.666 4.415 4.832
```



# TeSe3O9
Theoretical XRD peak list, λ = 1.5418 Å (Cu Kα). Input: a cell relaxed with GGA-PBE.
Peak positions follow from Bragg's law for the DFT cell and can differ from measured ones.

Largest 6 diffraction maxima, by angle, 10° ≤ 2θ ≤ 80°:
2θ 13.01, d 6.805, I 91; 2θ 20.68, d 4.296, I 100; 2θ 23.81, d 3.737, I 94; 2θ 26.50, d 3.364, I 44; 2θ 28.44, d 3.139, I 40; 2θ 29.56, d 3.022, I 54

Structural model:
```
26
Lattice="6.293 -4.647 0.000 6.293 4.647 0.000 -6.095 0.000 7.955" Properties=species:S:1:pos:R:3 pbc="T T T"
Te 3.246 4.612 3.978
Te 6.293 -4.612 0.000
Se 0.140 1.207 4.660
Se 5.046 2.279 2.038
Se 3.188 -1.207 0.682
Se 4.070 1.797 5.807
Se 1.999 -2.279 6.016
Se 7.117 -1.797 1.830
O 4.877 3.444 0.638
O 0.198 1.863 6.135
O 2.998 3.532 5.515
O 4.809 3.444 3.441
O 3.623 1.486 1.889
O 7.561 3.331 0.500
O 2.971 0.717 5.278
O 3.695 1.927 7.619
O 0.576 -1.486 5.866
O 3.245 -1.863 2.158
O 6.018 -0.717 1.300
O 1.830 -3.444 4.615
O 5.587 0.254 6.368
O 8.635 -0.254 2.391
O 6.046 -3.532 1.538
O 1.761 -3.444 7.418
O 6.742 -1.927 3.642
O 4.513 -3.331 4.477
```



# LiAc2AgAu6
Theoretical XRD peak list, λ = 1.5418 Å (Cu Kα). Input: a cell relaxed with GGA-PBE.
Peak positions follow from Bragg's law for the DFT cell and can differ from measured ones.

Largest 6 diffraction maxima, by angle, 10° ≤ 2θ ≤ 80°:
2θ 26.56, d 3.356, I 42; 2θ 27.16, d 3.283, I 44; 2θ 27.29, d 3.268, I 39; 2θ 37.63, d 2.390, I 88; 2θ 37.76, d 2.382, I 100; 2θ 38.18, d 2.357, I 83

Structural model:
```
10
Lattice="6.541 -2.747 0.000 6.541 2.747 0.000 -6.263 0.000 6.712" Properties=species:S:1:pos:R:3 pbc="T T T"
Li 0.000 0.000 0.000
Ac -1.251 0.000 4.723
Ac 8.070 0.000 1.989
Ag 3.409 0.000 3.356
Au 1.653 1.377 5.049
Au 2.693 0.000 0.607
Au 5.165 1.377 1.663
Au 1.653 -1.377 5.049
Au 4.126 0.000 6.105
Au 5.165 -1.377 1.663
```



# Er2Be2ZnNi5
Theoretical XRD peak list, λ = 1.5418 Å (Cu Kα). Input: a cell relaxed with GGA-PBE.
Peak positions follow from Bragg's law for the DFT cell and can differ from measured ones.

Largest 6 diffraction maxima, by angle, 10° ≤ 2θ ≤ 80°:
2θ 22.20, d 4.005, I 38; 2θ 35.07, d 2.559, I 100; 2θ 39.29, d 2.293, I 42; 2θ 41.58, d 2.172, I 78; 2θ 41.90, d 2.156, I 77; 2θ 71.44, d 1.320, I 30

Structural model:
```
20
Lattice="8.955 0.000 0.000 0.000 8.955 0.000 0.000 0.000 3.326" Properties=species:S:1:pos:R:3 pbc="T T T"
Er 1.627 2.851 0.000
Er 2.851 7.329 0.000
Er 6.104 1.627 0.000
Er 7.329 6.104 0.000
Be 1.006 5.483 0.000
Be 3.472 1.006 0.000
Be 5.483 7.950 0.000
Be 7.950 3.472 0.000
Zn 0.000 0.000 0.000
Zn 4.478 4.478 0.000
Ni 0.000 4.478 1.663
Ni 0.578 6.993 1.663
Ni 1.963 0.578 1.663
Ni 2.515 5.056 1.663
Ni 3.900 2.515 1.663
Ni 4.478 0.000 1.663
Ni 5.056 6.440 1.663
Ni 6.440 3.900 1.663
Ni 6.993 8.378 1.663
Ni 8.378 1.963 1.663
```



# TbIn5
Theoretical XRD peak list, λ = 1.5418 Å (Cu Kα). Input: a cell relaxed with GGA-PBE.
Peak positions follow from Bragg's law for the DFT cell and can differ from measured ones.

Largest 6 diffraction maxima, by angle, 10° ≤ 2θ ≤ 80°:
2θ 31.80, d 2.814, I 100; 2θ 34.37, d 2.609, I 88; 2θ 36.21, d 2.481, I 39; 2θ 39.47, d 2.283, I 62; 2θ 54.66, d 1.679, I 23; 2θ 57.05, d 1.614, I 15

Structural model:
```
6
Lattice="4.600 0.000 0.000 0.000 4.563 0.000 -1.426 0.000 7.442" Properties=species:S:1:pos:R:3 pbc="T T T"
Tb 0.000 0.000 0.000
In 0.020 2.281 2.425
In 0.830 0.000 5.047
In 2.300 2.281 0.000
In 2.344 0.000 2.395
In 3.154 2.281 5.017
```



# ReSe
Theoretical XRD peak list, λ = 1.5418 Å (Cu Kα). Input: a cell relaxed with GGA-PBE.
Peak positions follow from Bragg's law for the DFT cell and can differ from measured ones.

Largest 6 diffraction maxima, by angle, 10° ≤ 2θ ≤ 80°:
2θ 10.92, d 8.105, I 100; 2θ 32.44, d 2.760, I 19; 2θ 40.18, d 2.244, I 13; 2θ 41.22, d 2.190, I 17; 2θ 42.38, d 2.133, I 18; 2θ 44.74, d 2.025, I 14

Structural model:
```
8
Lattice="8.236 -1.543 0.000 8.236 1.543 0.000 -1.120 0.000 6.204" Properties=species:S:1:pos:R:3 pbc="T T T"
Re 2.506 0.000 3.004
Re 3.881 0.000 5.390
Re 11.471 0.000 0.813
Re 12.847 0.000 3.199
Se 1.252 0.000 5.217
Se 6.211 0.000 4.447
Se 9.142 0.000 1.756
Se 14.100 0.000 0.987
```



# Tb12Tl6Ag
Theoretical XRD peak list, λ = 1.5418 Å (Cu Kα). Input: a cell relaxed with GGA-PBE.
Peak positions follow from Bragg's law for the DFT cell and can differ from measured ones.

Largest 6 diffraction maxima, by angle, 10° ≤ 2θ ≤ 80°:
2θ 21.30, d 4.171, I 80; 2θ 29.95, d 2.983, I 30; 2θ 31.09, d 2.877, I 44; 2θ 35.07, d 2.559, I 100; 2θ 35.45, d 2.532, I 91; 2θ 50.73, d 1.800, I 24

Structural model:
```
19
Lattice="6.770 3.908 4.113 -6.770 3.908 4.113 0.000 -7.817 4.113" Properties=species:S:1:pos:R:3 pbc="T T T"
Tb -6.025 -1.477 6.844
Tb -1.733 -5.956 5.496
Tb -2.599 -0.411 4.847
Tb -4.292 4.479 5.496
Tb 1.656 -2.045 4.847
Tb -0.943 -2.457 7.493
Tb 0.943 2.457 4.847
Tb -1.656 2.045 7.493
Tb 4.292 -4.479 6.844
Tb 2.599 0.411 7.493
Tb 1.733 5.956 6.844
Tb 6.025 1.477 5.496
Tl -1.165 -3.139 4.358
Tl -2.136 2.579 4.358
Tl -3.301 -0.560 7.982
Tl 3.301 0.560 4.358
Tl 2.136 -2.579 7.982
Tl 1.165 3.139 7.982
Ag 0.000 0.000 0.000
```



# Pr3InGe2Pt9
Theoretical XRD peak list, λ = 1.5418 Å (Cu Kα). Input: a cell relaxed with GGA-PBE.
Peak positions follow from Bragg's law for the DFT cell and can differ from measured ones.

Largest 6 diffraction maxima, by angle, 10° ≤ 2θ ≤ 80°:
2θ 19.30, d 4.600, I 28; 2θ 22.14, d 4.014, I 55; 2θ 36.88, d 2.437, I 77; 2θ 39.17, d 2.300, I 100; 2θ 47.39, d 1.918, I 35; 2θ 64.89, d 1.437, I 26

Structural model:
```
15
Lattice="5.748 0.000 0.000 -2.874 4.978 0.000 0.000 0.000 12.043" Properties=species:S:1:pos:R:3 pbc="T T T"
Pr 0.000 0.000 0.000
Pr 0.000 3.318 9.243
Pr 2.874 1.659 2.801
In 0.000 0.000 6.022
Ge 0.000 3.318 1.952
Ge 2.874 1.659 10.092
Pt -1.437 2.489 0.000
Pt 0.000 1.606 3.757
Pt -1.483 4.174 3.757
Pt 1.391 0.803 8.286
Pt 2.874 0.000 0.000
Pt 1.437 2.489 0.000
Pt 1.483 4.174 3.757
Pt 4.357 0.803 8.286
Pt 2.874 3.371 8.286
```



# In5Pt
Theoretical XRD peak list, λ = 1.5418 Å (Cu Kα). Input: a cell relaxed with GGA-PBE.
Peak positions follow from Bragg's law for the DFT cell and can differ from measured ones.

Largest 6 diffraction maxima, by angle, 10° ≤ 2θ ≤ 80°:
2θ 33.78, d 2.654, I 100; 2θ 38.03, d 2.366, I 15; 2θ 39.26, d 2.295, I 42; 2θ 56.60, d 1.626, I 11; 2θ 56.74, d 1.622, I 14; 2θ 67.69, d 1.384, I 27

Structural model:
```
6
Lattice="3.245 0.000 0.000 0.000 3.245 0.000 0.000 0.000 13.830" Properties=species:S:1:pos:R:3 pbc="T T T"
In 0.000 0.000 0.000
In 0.000 0.000 5.171
In 0.000 0.000 8.659
In 1.622 1.622 2.607
In 1.622 1.622 11.223
Pt 1.622 1.622 6.915
```